The following is a computed X-ray powder pattern of HoMgCdPb. It was derived from a cell relaxed with PBE, using λ = 1.5418 Å (Cu Kα).
Neutral-atom scattering factors, no anomalous dispersion.

a b c (Å): 4.3791 4.6463 4.8865
angles (deg): 90.00 90.00 90.00
Space group Pmmm (No. 47)
Unique sites:
Ho1 0.0000 0.0000 0.0000
Mg1 0.0000 0.5000 0.5000
Cd1 0.5000 0.0000 0.5000
Pb1 0.5000 0.5000 0.0000

Main lines, by intensity (15 to 90 degrees two-theta):
2θ/deg  d [Å]  Rel. int.  (hkl)
33.6  2.669  100  1 1 1
18.2  4.887  21  0 0 1
36.8  2.443  20  0 0 2
38.8  2.323  17  0 2 0
28.0  3.187  16  1 1 0
64.2  1.450  15  1 1 3